(1)
The following is a theoretical PXRD pattern of LaBeO3. It was derived from a crystal structure in the Materials Project, relaxed with PBE, using Cu Kα.

Principal peaks in the range 10 to 80 degrees two-theta, in order of rising 2θ:
2θ 24.0, I = 97.7, (1 0 0); 2θ 34.2, I = 100.0, (1 1 0); 2θ 42.2, I = 74.1, (1 1 1); 2θ 49.1, I = 39.2, (2 0 0); 2θ 55.4, I = 43.2, (2 1 0); 2θ 61.2, I = 38.8, (2 1 1); 2θ 72.0, I = 22.8, (2 2 0); 2θ 77.2, I = 20.9, (3 0 0)

Cell and atoms:
```
data_LaBeO3
_cell_length_a 3.708
_cell_length_b 3.708
_cell_length_c 3.708
_cell_angle_alpha 90.00
_cell_angle_beta 90.00
_cell_angle_gamma 90.00
_symmetry_space_group_name_H-M 'P m -3 m'
_symmetry_Int_Tables_number 221
_symmetry_space_group_name_Hall '-P 4 2 3'
loop_
_atom_site_label
_atom_site_fract_x
_atom_site_fract_y
_atom_site_fract_z
La1 0.000 0.000 0.000
Be1 0.500 0.500 0.500
O1 0.000 0.500 0.500
```

=====

(2)
The following is a theoretical PXRD pattern of LiY4Ge4. It was derived from a crystal structure in the Materials Project, relaxed with PBE, using Cu Kα.

Principal peaks in the range 10 to 80 degrees two-theta, in order of rising 2θ:
2θ 17.9, I = 22.3, (1 1 1); 2θ 20.7, I = 26.8, (1 2 1); 2θ 31.9, I = 80.2, (1 3 2); 2θ 33.0, I = 100.0, (2 3 1); 2θ 33.5, I = 47.3, (0 4 2); 2θ 35.9, I = 42.6, (1 4 2); 2θ 36.8, I = 18.3, (2 4 1); 2θ 37.5, I = 26.2, (1 1 3); 2θ 39.4, I = 47.1, (3 0 1); 2θ 58.2, I = 21.1, (3 4 3)

Cell and atoms:
```
data_LiY4Ge4
_cell_length_a 7.176
_cell_length_b 14.749
_cell_length_c 7.753
_cell_angle_alpha 90.00
_cell_angle_beta 90.00
_cell_angle_gamma 90.00
_symmetry_space_group_name_H-M 'P n m a'
_symmetry_Int_Tables_number 62
loop_
_symmetry_equiv_pos_as_xyz
'x,y,z'
'-x,-y,-z'
'-x+1/2,-y,z+1/2'
'x+1/2,y,-z+1/2'
'x+1/2,-y+1/2,-z+1/2'
'-x+1/2,y+1/2,z+1/2'
'-x,y+1/2,-z'
'x,-y+1/2,z'
loop_
_atom_site_label
_atom_site_fract_x
_atom_site_fract_y
_atom_site_fract_z
Li1 0.159 0.250 0.022
Y1 0.015 0.597 0.686
Y2 0.172 0.628 0.176
Ge1 0.018 0.250 0.587
Ge2 0.166 0.037 0.966
Ge3 0.217 0.750 0.864
```

=====

(3)
The following is a theoretical PXRD pattern of NbCr2. It was derived from a crystal structure in the Materials Project, relaxed with PBE, using Cu Kα.

Principal peaks in the range 10 to 80 degrees two-theta, in order of rising 2θ:
2θ 34.9, I = 16.1, (1 0 5); 2θ 36.5, I = 50.2, (1 1 0); 2θ 39.7, I = 63.6, (1 0 6); 2θ 42.8, I = 19.4, (2 0 1); 2θ 43.1, I = 100.0, (1 1 4); 2θ 43.9, I = 47.8, (2 0 2); 2θ 67.9, I = 22.9, (2 1 6); 2θ 70.2, I = 24.7, (3 0 4); 2θ 73.8, I = 19.5, (2 0 10); 2θ 77.6, I = 21.5, (2 2 0)

Cell and atoms:
```
data_NbCr2
_cell_length_a 4.9236
_cell_length_b 4.9236
_cell_length_c 16.0853
_cell_angle_alpha 90.00
_cell_angle_beta 90.00
_cell_angle_gamma 120.00
_symmetry_space_group_name_H-M 'P 63/m m c'
_symmetry_Int_Tables_number 194
_symmetry_space_group_name_Hall '-P 6c 2c'
loop_
_atom_site_label
_atom_site_fract_x
_atom_site_fract_y
_atom_site_fract_z
Nb1 0.0000 0.0000 0.0947
Nb2 0.3333 0.6667 0.1565
Cr1 0.0000 0.5000 0.0000
Cr2 0.1639 0.3277 0.7500
Cr3 0.3333 0.6667 0.6236
```

=====

(4)
The following is a theoretical PXRD pattern of Dy5SbPd2. It was derived from a crystal structure in the Materials Project, relaxed with PBE, using Cu Kα.

Principal peaks in the range 10 to 80 degrees two-theta, in order of rising 2θ:
2θ 26.4, I = 10.5, (2 1 1); 2θ 30.9, I = 20.8, (1 1 4); 2θ 32.4, I = 100.0, (2 1 3); 2θ 35.0, I = 25.4, (2 0 4); 2θ 36.5, I = 55.8, (3 1 0); 2θ 42.1, I = 10.5, (2 1 5); 2θ 52.5, I = 19.1, (4 2 0); 2θ 57.0, I = 13.1, (3 3 4); 2θ 66.8, I = 13.2, (3 1 8); 2θ 68.1, I = 21.2, (4 4 0)

Cell and atoms:
```
data_Dy5SbPd2
_cell_length_a 7.781
_cell_length_b 7.781
_cell_length_c 13.634
_cell_angle_alpha 90.00
_cell_angle_beta 90.00
_cell_angle_gamma 90.00
_symmetry_space_group_name_H-M 'I 4/m c m'
_symmetry_Int_Tables_number 140
_symmetry_space_group_name_Hall '-I 4 2c'
loop_
_atom_site_label
_atom_site_fract_x
_atom_site_fract_y
_atom_site_fract_z
Dy1 0.000 0.000 0.000
Dy2 0.157 0.343 0.142
Sb1 0.000 0.000 0.250
Pd1 0.137 0.363 0.500
```

=====

(5)
The following is a theoretical PXRD pattern of Cu2OF2. It was derived from a crystal structure in the Materials Project, relaxed with PBE, using Cu Kα.

Principal peaks in the range 10 to 80 degrees two-theta, in order of rising 2θ:
2θ 23.1, I = 32.4, (2 0 -2); 2θ 23.5, I = 48.1, (1 1 2); 2θ 32.1, I = 100.0, (1 1 -4); 2θ 33.0, I = 45.0, (2 0 4); 2θ 34.0, I = 51.4, (0 2 0); 2θ 34.3, I = 74.1, (3 1 0); 2θ 51.9, I = 44.2, (3 1 -6); 2θ 53.5, I = 38.9, (3 1 6); 2θ 61.2, I = 30.0, (3 3 0); 2θ 61.7, I = 27.0, (6 0 0)

Cell and atoms:
```
data_Cu2OF2
_cell_length_a 9.024
_cell_length_b 5.266
_cell_length_c 13.959
_cell_angle_alpha 90.00
_cell_angle_beta 91.90
_cell_angle_gamma 90.00
_symmetry_space_group_name_H-M 'C 1 2/c 1'
_symmetry_Int_Tables_number 15
loop_
_symmetry_equiv_pos_as_xyz
'x,y,z'
'-x,-y,-z'
'-x,y,-z+1/2'
'x,-y,z+1/2'
'x+1/2,y+1/2,z'
'-x+1/2,-y+1/2,-z'
'-x+1/2,y+1/2,-z+1/2'
'x+1/2,-y+1/2,z+1/2'
loop_
_atom_site_label
_atom_site_fract_x
_atom_site_fract_y
_atom_site_fract_z
Cu1 0.008 0.054 0.152
Cu2 0.136 0.447 0.817
Cu3 0.152 0.484 0.515
O1 0.000 0.225 0.750
O2 0.008 0.384 0.412
F1 0.164 0.104 0.918
F2 0.176 0.195 0.237
F3 0.204 0.109 0.586
```

=====

(6)
The following is a theoretical PXRD pattern of LaMg6Ti. It was derived from a crystal structure in the Materials Project, relaxed with PBE, using Cu Kα.

Principal peaks in the range 10 to 80 degrees two-theta, in order of rising 2θ:
2θ 15.2, I = 41.8, (0 0 2); 2θ 15.7, I = 28.1, (0 1 1); 2θ 16.9, I = 32.8, (1 0 0); 2θ 22.8, I = 32.2, (1 0 2); 2θ 23.2, I = 31.5, (1 1 1); 2θ 31.7, I = 33.8, (0 2 2); 2θ 34.2, I = 37.5, (2 0 0); 2θ 35.3, I = 54.4, (1 0 4); 2θ 36.2, I = 100.0, (1 2 2); 2θ 66.6, I = 27.3, (2 2 6)

Cell and atoms:
```
data_LaMg6Ti
_cell_length_a 5.243
_cell_length_b 6.445
_cell_length_c 11.640
_cell_angle_alpha 90.00
_cell_angle_beta 90.00
_cell_angle_gamma 90.00
_symmetry_space_group_name_H-M 'A m m 2'
_symmetry_Int_Tables_number 38
loop_
_symmetry_equiv_pos_as_xyz
'x,y,z'
'-x,-y,z'
'-x,y,z'
'x,-y,z'
'x,y+1/2,z+1/2'
'-x,-y+1/2,z+1/2'
'-x,y+1/2,z+1/2'
'x,-y+1/2,z+1/2'
loop_
_atom_site_label
_atom_site_fract_x
_atom_site_fract_y
_atom_site_fract_z
La1 0.000 0.000 0.000
Mg1 0.000 0.247 0.251
Mg2 0.500 0.000 0.172
Mg3 0.500 0.000 0.658
Mg4 0.500 0.234 0.416
Ti1 0.000 0.000 0.495
```

=====

(7)
The following is a theoretical PXRD pattern of Sr4SeS3. It was derived from a crystal structure in the Materials Project, relaxed with PBE, using Cu Kα.

Principal peaks in the range 10 to 80 degrees two-theta, in order of rising 2θ:
2θ 24.1, I = 1.3, (1 1 -1); 2θ 25.2, I = 19.1, (1 1 1); 2θ 29.1, I = 100.0, (2 0 2); 2θ 41.7, I = 72.9, (0 2 0); 2θ 49.3, I = 10.1, (4 2 0); 2θ 51.6, I = 25.4, (2 2 2); 2θ 60.4, I = 11.8, (4 0 4); 2θ 66.5, I = 4.2, (1 3 1); 2θ 68.4, I = 32.3, (3 3 -1); 2θ 76.1, I = 24.0, (5 3 1)

Cell and atoms:
```
data_Sr4SeS3
_cell_length_a 14.377
_cell_length_b 4.334
_cell_length_c 7.511
_cell_angle_alpha 90.00
_cell_angle_beta 100.05
_cell_angle_gamma 90.00
_symmetry_space_group_name_H-M 'C 1 2/m 1'
_symmetry_Int_Tables_number 12
loop_
_symmetry_equiv_pos_as_xyz
'x,y,z'
'-x,-y,-z'
'-x,y,-z'
'x,-y,z'
'x+1/2,y+1/2,z'
'-x+1/2,-y+1/2,-z'
'-x+1/2,y+1/2,-z'
'x+1/2,-y+1/2,z'
loop_
_atom_site_label
_atom_site_fract_x
_atom_site_fract_y
_atom_site_fract_z
Sr1 0.126 0.000 0.380
Sr2 0.128 0.500 0.871
Se1 0.000 0.000 0.000
S1 0.000 0.500 0.500
S2 0.249 0.500 0.250
```

=====

(8)
The following is a theoretical PXRD pattern of SbTePd. It was derived from a crystal structure in the Materials Project, relaxed with PBE, using Cu Kα.

Principal peaks in the range 10 to 80 degrees two-theta, in order of rising 2θ:
2θ 26.8, I = 23.7, (2 0 0); 2θ 30.1, I = 100.0, (2 1 0); 2θ 33.0, I = 76.6, (2 1 1); 2θ 38.3, I = 19.9, (2 2 0); 2θ 45.3, I = 80.1, (3 1 1); 2θ 49.5, I = 22.7, (3 0 2); 2θ 51.5, I = 43.2, (3 1 2); 2θ 64.3, I = 22.3, (4 2 1); 2θ 74.2, I = 23.1, (3 3 3); 2θ 77.4, I = 19.1, (5 0 2)

Cell and atoms:
```
data_SbTePd
_cell_length_a 6.641
_cell_length_b 6.641
_cell_length_c 6.641
_cell_angle_alpha 90.00
_cell_angle_beta 90.00
_cell_angle_gamma 90.00
_symmetry_space_group_name_H-M 'P 21 3'
_symmetry_Int_Tables_number 198
_symmetry_space_group_name_Hall 'P 2ac 2ab 3'
loop_
_atom_site_label
_atom_site_fract_x
_atom_site_fract_y
_atom_site_fract_z
Sb1 0.127 0.127 0.127
Te1 0.126 0.374 0.626
Pd1 0.004 0.996 0.496
```